Structure and computed powder X-ray diffraction pattern of W9O13 (DFT lattice parameters and positions (GGA+U); Cu Kα X-rays).
No peak broadening, texture or thermal motion is included.

Cell and atoms:
Lattice parameters (Å, degrees): 3.304 7.133 17.176 82.87 89.76 76.68
Fractional coordinates of all 22 atoms:
W 0.000 0.000 0.000
W 0.167 0.677 0.499
W 0.280 0.425 0.932
W 0.431 0.142 0.153
W 0.482 0.039 0.379
W 0.518 0.961 0.621
W 0.569 0.858 0.847
W 0.720 0.575 0.068
W 0.833 0.323 0.501
O 0.000 0.028 0.873
O 0.000 0.972 0.127
O 0.096 0.839 0.393
O 0.126 0.771 0.606
O 0.151 0.661 0.852
O 0.405 0.187 0.021
O 0.466 0.080 0.265
O 0.500 0.000 0.500
O 0.534 0.920 0.735
O 0.595 0.813 0.979
O 0.849 0.339 0.148
O 0.874 0.229 0.394
O 0.904 0.161 0.607

Principal peaks in the range 2θ from 15° to 90°, in order of rising 2θ:
Position (°2θ)	Rel. int.
15.5	13
25.9	29
27.1	24
27.7	61
32.1	28
33.4	100
35.4	26
35.6	28
36.0	32
55.7	20